For ScCu3S3, a PBE-relaxed structure gives the simulated X-ray powder pattern in this record (λ = 1.5418 Å (Cu Kα)).

Atomic structure:
abc: 7.2342 7.2342 7.2342
angles: 54.09 54.09 54.09
Sites, in units of the cell vectors:
Sc: 0.1663 0.1663 0.1663
Sc: 0.8337 0.8337 0.8337
Cu: 0.0397 0.3769 0.7142
Cu: 0.2858 0.9603 0.6231
Cu: 0.3768 0.7142 0.0397
Cu: 0.6232 0.2858 0.9603
Cu: 0.7142 0.0397 0.3769
Cu: 0.9603 0.6231 0.2858
S: 0.0835 0.7567 0.4222
S: 0.2433 0.5778 0.9165
S: 0.4222 0.0835 0.7567
S: 0.5778 0.9165 0.2433
S: 0.7567 0.4222 0.0835
S: 0.9165 0.2433 0.5778

Top 10 peaks for 10 to 90 degrees two-theta, in order of falling intensity:
two_theta	d_spacing	I_rel
40.1	2.248	100
47.9	1.899	74
30.8	2.901	65
27.1	3.289	37
52.6	1.741	35
14.4	6.157	33
83.9	1.153	31
64.2	1.451	22
67.2	1.394	19
73.8	1.283	12